For BeRe8, DFT lattice parameters and positions (GGA-PBE) gives the simulated X-ray powder pattern in this record (λ = 1.5418 Å (Cu Kα)).

Most intense lines, 2θ from 10° to 90°, by angle:
2θ/deg, I/Imax
15.31, 8
21.71, 3
25.16, 5
33.47, 5
40.25, 100
46.25, 19
47.10, 32
68.15, 22
68.80, 10
81.60, 13
82.83, 26
86.96, 12

Atomic structure:
```
BeRe8
1.0
-4.093 4.093 1.963
4.093 -4.093 1.963
4.093 4.093 -1.963
Be Re
1 8
Direct
0.000 0.000 0.000 Be
0.000 0.334 0.334 Re
0.000 0.666 0.666 Re
0.334 0.000 0.334 Re
0.334 0.334 0.668 Re
0.334 0.666 0.000 Re
0.666 0.000 0.666 Re
0.666 0.334 0.000 Re
0.666 0.666 0.332 Re
```